(1)
# LiTm2In
Computed X-ray diffraction stick pattern, Cu Kα X-rays. Input: a DFT-relaxed cell (PBE, the Materials Project).
Peak positions follow from Bragg's law for the DFT cell and can differ from measured ones.

The 10 most intense peaks (2θ from 5° to 70°), low angle first:
| 2θ (°) | intensity |
| --- | --- |
| 20.90 | 14 |
| 24.18 | 27 |
| 34.45 | 100 |
| 40.64 | 8 |
| 42.53 | 8 |
| 49.52 | 18 |
| 54.31 | 3 |
| 55.84 | 11 |
| 61.72 | 37 |
| 65.92 | 2 |

Structural model:
Cell lengths 5.2062, 5.2062, 5.2062 Å; angles 60.00, 60.00, 60.00 degrees
Fractional coordinates of all 4 atoms:
Li 0.0000 0.0000 0.0000
Tm 0.2500 0.2500 0.2500
Tm 0.7500 0.7500 0.7500
In 0.5000 0.5000 0.5000

=====

(2)
# Li2TmIn
Computed X-ray diffraction stick pattern, Cu Kα X-rays. Input: a DFT-relaxed cell (PBE, the Materials Project).
Peak positions follow from Bragg's law for the DFT cell and can differ from measured ones.

The 9 most intense peaks (2θ from 5° to 70°), low angle first:
| 2θ (°) | intensity |
| --- | --- |
| 22.65 | 6 |
| 26.21 | 100 |
| 37.40 | 91 |
| 44.17 | 4 |
| 46.24 | 29 |
| 53.93 | 16 |
| 59.22 | 2 |
| 60.92 | 37 |
| 67.47 | 32 |

Structural model:
Cell lengths 4.8090, 4.8090, 4.8090 Å; angles 60.00, 60.00, 60.00 degrees
Fractional coordinates of all 4 atoms:
Li 0.2500 0.2500 0.2500
Li 0.7500 0.7500 0.7500
Tm 0.0000 0.0000 0.0000
In 0.5000 0.5000 0.5000